This entry pairs a crystal structure of Th4Sb2Ru with its computed PXRD pattern. Radiation: Cu Kα, 1.54184 Å. Structure: a cell relaxed with GGA-PBE.
Neutral-atom scattering factors, no anomalous dispersion.

Principal peaks in the range 10 to 90 degrees two-theta, in order of rising 2θ:
27.61 deg, d = 3.231 Å, I 54
28.08 deg, d = 3.178 Å, I 63
30.16 deg, d = 2.963 Å, I 100
30.52 deg, d = 2.929 Å, I 39
31.19 deg, d = 2.868 Å, I 29
33.57 deg, d = 2.670 Å, I 53
33.70 deg, d = 2.660 Å, I 53
37.99 deg, d = 2.369 Å, I 48
38.66 deg, d = 2.329 Å, I 28
49.44 deg, d = 1.844 Å, I 28

Structural model:
```
data_Th4Sb2Ru
_chemical_formula_sum 'Th8 Sb4 Ru2'
_space_group_name_H-M_alt 'P 1 21/m 1'
_space_group_IT_number 11
_space_group_name_Hall '-P 2yb'
_cell_length_a 6.906
_cell_length_b 6.652
_cell_length_c 9.476
_cell_angle_alpha 90.00
_cell_angle_beta 109.11
_cell_angle_gamma 90.00
loop_
_atom_site_label
_atom_site_type_symbol
_atom_site_fract_x
_atom_site_fract_y
_atom_site_fract_z
Th1 Th 0.011 0.011 0.267
Th2 Th 0.367 0.750 0.062
Th3 Th 0.431 0.750 0.632
Sb1 Sb 0.218 0.250 0.041
Sb2 Sb 0.256 0.250 0.577
Ru1 Ru 0.330 0.750 0.327
```